# Ac3In2O8
Theoretical powder XRD pattern, copper Kα. Input: the PBE geometry in Alexandria.
Intensities are scaled so that the largest is 100.

Peak list (12 most intense, 10 to 80 degrees two-theta, by angle)
Position (°2θ), I (rel.)
17.04, 11.2
27.62, 90.7
28.70, 100.0
40.25, 42.5
48.16, 25.9
50.18, 41.1
50.85, 20.6
57.03, 13.2
59.43, 16.0
65.08, 19.0
66.76, 17.0
77.28, 11.7

Crystal structure
```
Ac3In2O8
1.0
3.110 1.796 6.726
-3.110 1.796 6.726
0.000 -3.591 6.726
Ac In O
3 2 8
direct
0.000 0.000 0.000 Ac
0.196 0.196 0.196 Ac
0.804 0.804 0.804 Ac
0.409 0.409 0.409 In
0.591 0.591 0.591 In
0.196 0.748 0.748 O
0.252 0.252 0.804 O
0.252 0.804 0.252 O
0.308 0.308 0.308 O
0.692 0.692 0.692 O
0.748 0.196 0.748 O
0.748 0.748 0.196 O
0.804 0.252 0.252 O
```